# BaCoO2
Simulated XRD peak list, Cu Kα, 1.54184 Å. Input: DFT lattice parameters and positions (PBE+U).
Lines closer than 0.1° are merged.

Cell and atoms:
a = 3.9720 Å, b = 3.9720 Å, c = 3.9478 Å
α = 90.00°, β = 90.00°, γ = 90.00°
Fractional positions:
Ba 0.0000 0.0000 0.0000
Co 0.5000 0.5000 0.5000
O 0.0000 0.5000 0.5000
O 0.5000 0.0000 0.5000

The 10 most intense peaks (10 to 80 degrees two-theta), sorted by position:
2theta, d [Å], I (rel.)
22.38, 3.972, 15
31.86, 2.809, 34
31.96, 2.800, 100
39.37, 2.289, 15
45.68, 1.986, 24
45.98, 1.974, 12
56.84, 1.620, 37
57.03, 1.615, 13
66.82, 1.400, 14
75.76, 1.256, 14

# BaCo4O7
Simulated XRD peak list, Cu Kα, 1.54184 Å. Input: DFT lattice parameters and positions (PBE+U).
Lines closer than 0.1° are merged.

Cell and atoms:
a = 6.3625 Å, b = 6.3625 Å, c = 10.1390 Å
α = 90.00°, β = 90.00°, γ = 120.00°
Fractional positions:
Ba 0.3333 0.6667 0.0000
Ba 0.6667 0.3333 0.5000
Co 0.0000 0.0000 0.4416
Co 0.0000 0.0000 0.9416
Co 0.1731 0.3463 0.6908
Co 0.1731 0.8269 0.6908
Co 0.3463 0.1731 0.1908
Co 0.6537 0.8269 0.6908
Co 0.8269 0.1731 0.1908
Co 0.8269 0.6537 0.1908
O 0.0000 0.0000 0.2542
O 0.0000 0.0000 0.7542
O 0.0318 0.5159 0.7596
O 0.1497 0.2994 0.5167
O 0.1497 0.8503 0.5167
O 0.2994 0.1497 0.0167
O 0.4841 0.5159 0.7596
O 0.4841 0.9682 0.7596
O 0.5159 0.0318 0.2596
O 0.5159 0.4841 0.2596
O 0.7006 0.8503 0.5167
O 0.8503 0.1497 0.0167
O 0.8503 0.7006 0.0167
O 0.9682 0.4841 0.2596

The 10 most intense peaks (10 to 80 degrees two-theta), sorted by position:
2theta, d [Å], I (rel.)
18.33, 4.841, 69
28.05, 3.181, 16
31.04, 2.881, 45
33.25, 2.695, 75
33.71, 2.659, 100
35.41, 2.535, 24
37.14, 2.421, 16
53.03, 1.727, 19
56.34, 1.633, 28
57.98, 1.591, 30